No. 1
Theoretical X-ray powder pattern
Compound: PrYAl
Radiation: Cu Kα (λ = 1.5418 Å)
Structure: a GGA-PBE-relaxed structure
Intensities are scaled so that the largest is 100.

Top 8 peaks for 10 to 80 degrees two-theta, most intense first:
2θ 32.02, intensity 100.0, hkl 1 0 3; 2θ 26.17, intensity 41.7, hkl 1 0 1; 2θ 36.16, intensity 40.9, hkl 1 1 0; 2θ 62.45, intensity 28.6, hkl 2 1 3; 2θ 25.73, intensity 23.1, hkl 0 0 4; 2θ 44.92, intensity 20.5, hkl 1 1 4; 2θ 53.14, intensity 16.7, hkl 1 0 7; 2θ 54.26, intensity 14.4, hkl 1 1 6

Crystal structure
Cell: 3.5126 3.5126 13.8475 Å, 90.00 90.00 90.00°
Space group I4mm (No. 107)
Inequivalent atoms, fractional coordinates:
1 Pr 0.0000 0.0000 0.0000
2 Y 0.0000 0.0000 0.2921
3 Al 0.0000 0.0000 0.6531

---

No. 2
Theoretical X-ray powder pattern
Compound: Pr3Al4Zn4
Radiation: Cu Kα (λ = 1.5418 Å)
Structure: a GGA-PBE-relaxed structure
Intensities are scaled so that the largest is 100.

Top 8 peaks for 10 to 80 degrees two-theta, most intense first:
2θ 32.84, intensity 100.0, hkl 3 1 1; 2θ 32.19, intensity 73.9, hkl 6 0 1; 2θ 30.66, intensity 65.7, hkl 3 1 -1; 2θ 42.53, intensity 38.8, hkl 11 1 0; 2θ 40.95, intensity 35.5, hkl 0 2 0; 2θ 53.02, intensity 35.5, hkl 6 2 1; 2θ 19.96, intensity 31.3, hkl 6 0 0; 2θ 44.58, intensity 27.8, hkl 2 0 -2

Crystal structure
Cell: 26.9987 4.4074 4.0648 Å, 90.00 98.66 90.00°
Space group C2/m (No. 12)
Inequivalent atoms, fractional coordinates:
1 Pr 0.0000 0.0000 0.0000
2 Pr 0.1487 0.5000 0.1483
3 Al 0.0962 0.0000 0.5977
4 Al 0.2479 0.5000 0.7480
5 Zn 0.0486 0.5000 0.5491
6 Zn 0.1914 0.0000 0.6917